No. 1
For PPbW4N2, DFT lattice parameters and positions (PBE) gives the theoretical X-ray powder pattern in this record (a wavelength of 1.5418 Å).

Largest 10 diffraction maxima, most intense first, 2θ from 15° to 90°:
Position (°2θ)	Rel. int.
39.30	100
33.66	32
36.26	30
60.20	26
65.40	26
33.12	25
70.46	18
47.95	18
74.29	16
74.76	8

Atomic structure:
Unit cell a=3.074 b=3.074 c=13.523 alpha=90.00 beta=90.00 gamma=120.00
Sites, in units of the cell vectors:
1 P 0.000 0.000 0.000
2 Pb 0.333 0.667 0.500
3 W 0.000 0.000 0.316
4 W 0.000 0.000 0.684
5 W 0.333 0.667 0.126
6 W 0.333 0.667 0.874
7 N 0.667 0.333 0.228
8 N 0.667 0.333 0.772

=====

No. 2
For Na2PtI6, DFT lattice parameters and positions (PBE) gives the theoretical X-ray powder pattern in this record (a wavelength of 1.5418 Å).

Largest 10 diffraction maxima, most intense first, 2θ from 15° to 90°:
Position (°2θ)	Rel. int.
27.45	100
28.28	61
31.40	56
16.54	53
33.44	51
15.55	50
37.52	49
35.49	42
49.71	42
46.52	38

Atomic structure:
Unit cell a=7.823 b=7.823 c=7.823 alpha=122.05 beta=122.05 gamma=86.49
Sites, in units of the cell vectors:
1 Na 0.250 0.750 0.500
2 Na 0.750 0.250 0.500
3 Pt 0.000 0.000 0.000
4 I 0.178 0.689 0.868
5 I 0.237 0.237 0.000
6 I 0.311 0.178 0.489
7 I 0.689 0.822 0.511
8 I 0.763 0.763 0.000
9 I 0.822 0.311 0.132

=====

No. 3
For DyEr2FeCo8, DFT lattice parameters and positions (PBE) gives the theoretical X-ray powder pattern in this record (a wavelength of 1.5418 Å).

Largest 10 diffraction maxima, most intense first, 2θ from 15° to 90°:
Position (°2θ)	Rel. int.
42.81	100
36.04	60
33.48	53
36.60	44
42.03	42
69.46	22
76.43	22
63.17	18
65.16	15
20.91	15

Atomic structure:
Unit cell a=8.463 b=8.463 c=8.463 alpha=34.25 beta=34.25 gamma=34.25
Sites, in units of the cell vectors:
1 Dy 0.000 0.000 0.000
2 Er 0.140 0.140 0.140
3 Er 0.860 0.860 0.860
4 Fe 0.500 0.500 0.500
5 Co 0.079 0.584 0.584
6 Co 0.334 0.334 0.334
7 Co 0.416 0.416 0.921
8 Co 0.416 0.921 0.416
9 Co 0.584 0.079 0.584
10 Co 0.584 0.584 0.079
11 Co 0.666 0.666 0.666
12 Co 0.921 0.416 0.416

=====

No. 4
For Na2PuCdSe2S2, DFT lattice parameters and positions (PBE) gives the theoretical X-ray powder pattern in this record (a wavelength of 1.5418 Å).

Largest 10 diffraction maxima, most intense first, 2θ from 15° to 90°:
Position (°2θ)	Rel. int.
30.66	100
17.04	84
31.91	47
17.23	44
44.52	33
45.15	33
15.80	28
43.69	20
35.52	18
28.53	18

Atomic structure:
Unit cell a=5.832 b=5.832 c=6.912 alpha=114.53 beta=114.53 gamma=89.42
Sites, in units of the cell vectors:
1 Na 0.000 0.000 0.000
2 Na 0.780 0.220 0.500
3 Pu 0.278 0.722 0.500
4 Cd 0.468 0.532 0.000
5 Se 0.293 0.233 0.523
6 Se 0.767 0.707 0.477
7 S 0.035 0.510 0.036
8 S 0.490 0.965 0.964

=====

No. 5
For Tb2PrAl7Ag2, DFT lattice parameters and positions (PBE) gives the theoretical X-ray powder pattern in this record (a wavelength of 1.5418 Å).

Largest 10 diffraction maxima, most intense first, 2θ from 15° to 90°:
Position (°2θ)	Rel. int.
38.02	100
31.93	85
20.09	36
29.92	27
62.11	24
60.98	24
22.70	20
32.72	19
66.75	17
18.58	16

Atomic structure:
Unit cell a=9.412 b=9.412 c=9.412 alpha=34.65 beta=34.65 gamma=34.65
Sites, in units of the cell vectors:
1 Tb 0.142 0.142 0.142
2 Tb 0.858 0.858 0.858
3 Pr 0.000 0.000 0.000
4 Al 0.076 0.588 0.588
5 Al 0.412 0.412 0.924
6 Al 0.412 0.924 0.412
7 Al 0.500 0.500 0.500
8 Al 0.588 0.076 0.588
9 Al 0.588 0.588 0.076
10 Al 0.924 0.412 0.412
11 Ag 0.336 0.336 0.336
12 Ag 0.664 0.664 0.664

=====

No. 6
For MgTa2Sb3Ir3, DFT lattice parameters and positions (PBE) gives the theoretical X-ray powder pattern in this record (a wavelength of 1.5418 Å).

Largest 10 diffraction maxima, most intense first, 2θ from 15° to 90°:
Position (°2θ)	Rel. int.
40.85	100
24.68	47
74.38	32
48.31	22
59.15	16
88.53	10
65.07	9
79.74	7
18.18	4
28.57	3

Atomic structure:
Unit cell a=7.651 b=7.651 c=7.655 alpha=99.62 beta=99.62 gamma=119.97
Sites, in units of the cell vectors:
1 Mg 0.085 0.915 0.500
2 Mg 0.915 0.085 0.000
3 Ta 0.249 0.746 0.995
4 Ta 0.413 0.579 0.495
5 Ta 0.579 0.413 0.995
6 Ta 0.746 0.249 0.495
7 Sb 0.154 0.315 0.752
8 Sb 0.315 0.154 0.252
9 Sb 0.503 0.997 0.743
10 Sb 0.681 0.836 0.244
11 Sb 0.836 0.681 0.744
12 Sb 0.997 0.503 0.243
13 Ir 0.043 0.229 0.385
14 Ir 0.229 0.043 0.885
15 Ir 0.388 0.869 0.364
16 Ir 0.521 0.688 0.864
17 Ir 0.688 0.521 0.364
18 Ir 0.869 0.388 0.864

=====

No. 7
For RbPaF6, DFT lattice parameters and positions (PBE) gives the theoretical X-ray powder pattern in this record (a wavelength of 1.5418 Å).

Largest 10 diffraction maxima, most intense first, 2θ from 15° to 90°:
Position (°2θ)	Rel. int.
17.49	100
32.05	88
26.64	52
44.85	46
33.60	40
22.52	39
28.46	21
52.71	21
46.03	21
58.06	17

Atomic structure:
Unit cell a=6.431 b=6.431 c=6.272 alpha=90.00 beta=90.00 gamma=104.09
Sites, in units of the cell vectors:
1 Rb 0.250 0.750 0.977
2 Rb 0.750 0.250 0.023
3 Pa 0.000 0.500 0.500
4 Pa 0.500 0.000 0.500
5 F 0.096 0.344 0.764
6 F 0.133 0.867 0.546
7 F 0.156 0.404 0.236
8 F 0.344 0.096 0.236
9 F 0.367 0.633 0.546
10 F 0.404 0.156 0.764
11 F 0.596 0.844 0.236
12 F 0.633 0.367 0.454
13 F 0.656 0.904 0.764
14 F 0.844 0.596 0.764
15 F 0.867 0.133 0.454
16 F 0.904 0.656 0.236

=====

No. 8
For Li4Os2O5, DFT lattice parameters and positions (PBE) gives the theoretical X-ray powder pattern in this record (a wavelength of 1.5418 Å).

Largest 10 diffraction maxima, most intense first, 2θ from 15° to 90°:
Position (°2θ)	Rel. int.
22.07	100
30.35	68
37.84	61
26.63	42
47.64	38
21.79	37
48.81	36
41.68	30
42.96	30
55.27	26

Atomic structure:
Unit cell a=6.400 b=6.400 c=4.027 alpha=90.00 beta=90.00 gamma=140.42
Sites, in units of the cell vectors:
1 Li 0.000 0.000 0.000
2 Li 0.173 0.827 0.500
3 Li 0.500 0.500 0.500
4 Li 0.827 0.173 0.500
5 Os 0.317 0.683 0.000
6 Os 0.683 0.317 0.000
7 O 0.147 0.853 0.000
8 O 0.337 0.663 0.500
9 O 0.500 0.500 0.000
10 O 0.663 0.337 0.500
11 O 0.853 0.147 0.000

=====

No. 9
For NdYNi2B2C2, DFT lattice parameters and positions (PBE) gives the theoretical X-ray powder pattern in this record (a wavelength of 1.5418 Å).

Largest 10 diffraction maxima, most intense first, 2θ from 15° to 90°:
Position (°2θ)	Rel. int.
27.03	100
36.65	93
42.26	72
34.04	71
35.54	56
49.77	48
62.64	40
57.54	26
61.67	26
60.55	22

Atomic structure:
Unit cell a=3.664 b=3.664 c=7.578 alpha=90.00 beta=90.00 gamma=90.00
Sites, in units of the cell vectors:
1 Nd 0.000 0.000 0.000
2 Y 0.500 0.500 0.338
3 Ni 0.000 0.500 0.669
4 Ni 0.500 0.000 0.669
5 B 0.000 0.000 0.529
6 B 0.500 0.500 0.814
7 C 0.000 0.000 0.332
8 C 0.500 0.500 0.012

=====

No. 10
For SmSbO4, DFT lattice parameters and positions (PBE) gives the theoretical X-ray powder pattern in this record (a wavelength of 1.5418 Å).

Largest 10 diffraction maxima, most intense first, 2θ from 15° to 90°:
Position (°2θ)	Rel. int.
28.89	100
29.76	19
32.86	18
49.98	15
56.26	14
23.71	11
45.66	9
48.11	9
55.13	9
30.80	8

Atomic structure:
Unit cell a=7.620 b=5.450 c=7.592 alpha=90.00 beta=99.53 gamma=90.00
Sites, in units of the cell vectors:
1 Sm 0.146 0.227 0.397
2 Sm 0.146 0.273 0.897
3 Sm 0.854 0.727 0.103
4 Sm 0.854 0.773 0.603
5 Sb 0.337 0.730 0.196
6 Sb 0.337 0.770 0.696
7 Sb 0.663 0.230 0.304
8 Sb 0.663 0.270 0.804
9 O 0.117 0.519 0.173
10 O 0.117 0.981 0.673
11 O 0.170 0.502 0.625
12 O 0.170 0.998 0.125
13 O 0.333 0.628 0.942
14 O 0.333 0.872 0.442
15 O 0.435 0.094 0.806
16 O 0.435 0.406 0.306
17 O 0.565 0.594 0.694
18 O 0.565 0.906 0.194
19 O 0.667 0.128 0.558
20 O 0.667 0.372 0.058
21 O 0.830 0.002 0.875
22 O 0.830 0.498 0.375
23 O 0.883 0.019 0.327
24 O 0.883 0.481 0.827

=====

No. 11
For Zr2Re2O5, DFT lattice parameters and positions (PBE) gives the theoretical X-ray powder pattern in this record (a wavelength of 1.5418 Å).

Largest 10 diffraction maxima, most intense first, 2θ from 15° to 90°:
Position (°2θ)	Rel. int.
32.54	100
36.92	32
63.78	29
55.07	28
53.21	17
39.37	13
19.39	13
68.16	10
67.09	10
25.88	8

Atomic structure:
Unit cell a=3.443 b=3.443 c=9.157 alpha=90.00 beta=90.00 gamma=90.00
Sites, in units of the cell vectors:
1 Zr 0.000 0.000 0.226
2 Zr 0.000 0.000 0.774
3 Re 0.500 0.500 0.000
4 Re 0.500 0.500 0.500
5 O 0.000 0.000 0.000
6 O 0.000 0.500 0.371
7 O 0.000 0.500 0.629
8 O 0.500 0.000 0.371
9 O 0.500 0.000 0.629

=====

No. 12
For Na4Sn2IrPd, DFT lattice parameters and positions (PBE) gives the theoretical X-ray powder pattern in this record (a wavelength of 1.5418 Å).

Largest 10 diffraction maxima, most intense first, 2θ from 15° to 90°:
Position (°2θ)	Rel. int.
37.58	100
22.73	88
37.46	51
67.66	35
44.26	31
54.01	18
67.90	17
44.48	15
59.51	13
80.21	11

Atomic structure:
Unit cell a=4.802 b=4.802 c=6.748 alpha=90.00 beta=90.00 gamma=90.00
Sites, in units of the cell vectors:
1 Na 0.000 0.000 0.000
2 Na 0.000 0.500 0.245
3 Na 0.500 0.000 0.755
4 Na 0.500 0.500 0.500
5 Sn 0.000 0.500 0.737
6 Sn 0.500 0.000 0.263
7 Ir 0.000 0.000 0.500
8 Pd 0.500 0.500 0.000